For Ce2MgS4, a cell relaxed with PBE gives the simulated XRD peak list in this record (Cu Kα, 1.54184 Å).
Kinematic intensities with the Lorentz-polarization factor, no thermal factor.

Principal peaks in the range 2θ = 10–90°, sorted by position:
2θ/deg	I (rel.)
14.75	50
18.20	90
23.22	54
24.82	47
25.59	48
26.01	65
36.89	100
37.24	42
41.02	27
44.32	39

Structural model:
a b c (Å): 14.0662 8.3411 6.6413
angles (deg): 90.00 90.00 90.00
Fractional positions:
Ce 0.0000 0.0000 0.0000
Ce 0.0000 0.5000 0.0000
Ce 0.2307 0.2500 0.4986
Ce 0.2693 0.7500 0.9986
Ce 0.5000 0.0000 0.5000
Ce 0.5000 0.5000 0.5000
Ce 0.7307 0.2500 0.0014
Ce 0.7693 0.7500 0.5014
Mg 0.0927 0.7500 0.4225
Mg 0.4073 0.2500 0.9225
Mg 0.5927 0.7500 0.0775
Mg 0.9073 0.2500 0.5775
S 0.0654 0.2500 0.7430
S 0.0925 0.7500 0.7870
S 0.1668 0.5185 0.2492
S 0.1668 0.9815 0.2492
S 0.3332 0.0185 0.7492
S 0.3332 0.4815 0.7492
S 0.4075 0.2500 0.2870
S 0.4346 0.7500 0.2430
S 0.5654 0.2500 0.7570
S 0.5925 0.7500 0.7130
S 0.6668 0.5185 0.2508
S 0.6668 0.9815 0.2508
S 0.8332 0.0185 0.7508
S 0.8332 0.4815 0.7508
S 0.9075 0.2500 0.2130
S 0.9346 0.7500 0.2570


For Ce2MgS4, a cell relaxed with PBE gives the simulated XRD peak list in this record (Cu Kα, 1.54184 Å).
Kinematic intensities with the Lorentz-polarization factor, no thermal factor.

Principal peaks in the range 2θ = 10–90°, sorted by position:
2θ/deg	I (rel.)
19.13	27
24.85	100
27.63	42
30.95	19
31.77	60
34.02	49
41.95	23
42.58	38
44.34	23
47.16	45

Structural model:
a b c (Å): 12.9366 7.7670 12.9262
angles (deg): 90.00 90.00 90.00
Fractional positions:
Ce 0.1086 0.1147 0.0000
Ce 0.1243 0.6158 0.6426
Ce 0.1335 0.3706 0.3090
Ce 0.1341 0.8711 0.3085
Ce 0.3659 0.8711 0.8085
Ce 0.3665 0.3706 0.8090
Ce 0.3757 0.6158 0.1426
Ce 0.3914 0.1147 0.5000
Ce 0.6086 0.8853 0.0000
Ce 0.6243 0.3842 0.6426
Ce 0.6335 0.6294 0.3090
Ce 0.6341 0.1289 0.3085
Ce 0.8659 0.1289 0.8085
Ce 0.8665 0.6294 0.8090
Ce 0.8757 0.3842 0.1426
Ce 0.8914 0.8853 0.5000
Mg 0.1086 0.6169 0.0081
Mg 0.1236 0.1220 0.6359
Mg 0.3764 0.1220 0.1359
Mg 0.3914 0.6169 0.5081
Mg 0.6086 0.3831 0.0081
Mg 0.6236 0.8780 0.6359
Mg 0.8764 0.8780 0.1359
Mg 0.8914 0.3831 0.5081
S 0.0117 0.1194 0.1936
S 0.0221 0.6296 0.1828
S 0.0287 0.6197 0.4456
S 0.0437 0.1288 0.4558
S 0.2092 0.1212 0.8128
S 0.2091 0.6197 0.8377
S 0.2322 0.3662 0.0904
S 0.2333 0.8687 0.0881
S 0.2667 0.8687 0.5881
S 0.2678 0.3662 0.5904
S 0.2908 0.1212 0.3128
S 0.2909 0.6197 0.3377
S 0.4563 0.1288 0.9558
S 0.4713 0.6197 0.9456
S 0.4779 0.6296 0.6828
S 0.4883 0.1194 0.6936
S 0.5117 0.8806 0.1936
S 0.5221 0.3704 0.1828
S 0.5287 0.3803 0.4456
S 0.5437 0.8712 0.4558
S 0.7091 0.3803 0.8377
S 0.7092 0.8788 0.8128
S 0.7322 0.6338 0.0904
S 0.7333 0.1313 0.0881
S 0.7667 0.1313 0.5881
S 0.7678 0.6338 0.5904
S 0.7909 0.3803 0.3377
S 0.7908 0.8788 0.3128
S 0.9563 0.8712 0.9558
S 0.9713 0.3803 0.9456
S 0.9779 0.3704 0.6828
S 0.9883 0.8806 0.6936


For Ce2MgS4, a cell relaxed with PBE gives the simulated XRD peak list in this record (Cu Kα, 1.54184 Å).
Kinematic intensities with the Lorentz-polarization factor, no thermal factor.

Principal peaks in the range 2θ = 10–90°, sorted by position:
2θ/deg	I (rel.)
14.68	55
21.51	39
25.27	84
26.14	96
32.27	52
34.09	47
34.32	100
39.11	90
40.67	53
50.46	38

Structural model:
a b c (Å): 7.3252 7.3252 7.3252
angles (deg): 111.33 111.33 105.82
Fractional positions:
Ce 0.0042 0.6250 0.8792
Ce 0.3750 0.2542 0.3792
Ce 0.7458 0.1250 0.1208
Ce 0.8750 0.9958 0.6208
Mg 0.2500 0.7500 0.5000
Mg 0.5000 0.5000 0.0000
S 0.0043 0.8770 0.2676
S 0.1230 0.3906 0.1273
S 0.1406 0.3730 0.6273
S 0.2633 0.9957 0.8727
S 0.4867 0.8594 0.2324
S 0.6094 0.7367 0.7324
S 0.6270 0.2543 0.7676
S 0.7457 0.5133 0.3727